No. 1
# La3RuPt
Computed powder X-ray diffraction pattern, Cu Kα (weighted mean of Kα1 and Kα2). Input: a PBE-relaxed structure.
No peak broadening, texture or thermal motion is included.

Crystal structure
Cell: 8.8768 7.5941 8.6695 Å, 90.00 106.24 90.00°
Sites, in units of the cell vectors:
La 0.0410 0.0102 0.2196
La 0.0410 0.4898 0.7196
La 0.2834 0.6607 0.1028
La 0.2834 0.8393 0.6028
La 0.3467 0.1955 0.0118
La 0.3467 0.3045 0.5118
La 0.6533 0.6955 0.4882
La 0.6533 0.8045 0.9882
La 0.7166 0.1607 0.3972
La 0.7166 0.3393 0.8972
La 0.9590 0.5102 0.2804
La 0.9590 0.9898 0.7804
Ru 0.0520 0.1921 0.5126
Ru 0.0520 0.3079 0.0126
Ru 0.9480 0.6921 0.9874
Ru 0.9480 0.8079 0.4874
Pt 0.4030 0.5321 0.8163
Pt 0.4030 0.9679 0.3163
Pt 0.5970 0.0321 0.6837
Pt 0.5970 0.4679 0.1837

Largest 10 diffraction maxima, low angle first, 5° ≤ 2θ ≤ 70°:
2θ/deg, d_spacing, I/Imax
17.21, 5.153, 38
29.00, 3.079, 29
31.51, 2.839, 69
31.90, 2.805, 100
32.53, 2.752, 39
33.20, 2.698, 76
35.30, 2.543, 30
37.78, 2.381, 52
38.11, 2.361, 29
41.74, 2.164, 44


No. 2
# La2SbPt3
Computed powder X-ray diffraction pattern, Cu Kα (weighted mean of Kα1 and Kα2). Input: a PBE-relaxed structure.
No peak broadening, texture or thermal motion is included.

Crystal structure
Cell: 9.1235 8.8695 6.1279 Å, 72.34 67.87 39.79°
Sites, in units of the cell vectors:
La 0.2351 0.7649 0.7649
La 0.2500 0.2500 0.2500
La 0.7500 0.7500 0.7500
La 0.7649 0.2351 0.2351
Sb 0.3351 0.3351 0.6649
Sb 0.6649 0.6649 0.3351
Pt 0.1653 0.6682 0.3318
Pt 0.1666 0.1666 0.8334
Pt 0.3318 0.8347 0.1653
Pt 0.6682 0.1653 0.8347
Pt 0.8334 0.8334 0.1666
Pt 0.8347 0.3318 0.6682

Largest 10 diffraction maxima, low angle first, 5° ≤ 2θ ≤ 70°:
2θ/deg, d_spacing, I/Imax
21.89, 4.061, 19
31.56, 2.834, 100
39.26, 2.295, 23
39.51, 2.281, 45
44.63, 2.030, 16
45.62, 1.989, 12
51.27, 1.782, 18
51.54, 1.773, 8
60.93, 1.521, 12
61.11, 1.517, 24


No. 3
# La3Sb4Pt3
Computed powder X-ray diffraction pattern, Cu Kα (weighted mean of Kα1 and Kα2). Input: a PBE-relaxed structure.
No peak broadening, texture or thermal motion is included.

Crystal structure
Cell: 8.7170 8.7170 8.7170 Å, 109.47 109.47 109.47°
Sites, in units of the cell vectors:
La 0.1250 0.7500 0.8750
La 0.2500 0.6250 0.3750
La 0.3750 0.2500 0.6250
La 0.6250 0.3750 0.2500
La 0.7500 0.8750 0.1250
La 0.8750 0.1250 0.7500
Sb 0.0000 0.3357 0.5000
Sb 0.0000 0.8357 0.5000
Sb 0.1643 0.1643 0.1643
Sb 0.3357 0.5000 0.0000
Sb 0.5000 0.0000 0.3357
Sb 0.5000 0.0000 0.8357
Sb 0.6643 0.6643 0.6643
Sb 0.8357 0.5000 0.0000
Pt 0.1250 0.8750 0.2500
Pt 0.2500 0.1250 0.8750
Pt 0.3750 0.6250 0.7500
Pt 0.6250 0.7500 0.3750
Pt 0.7500 0.3750 0.6250
Pt 0.8750 0.2500 0.1250

Largest 10 diffraction maxima, low angle first, 5° ≤ 2θ ≤ 70°:
2θ/deg, d_spacing, I/Imax
21.63, 4.109, 30
33.31, 2.690, 100
40.06, 2.251, 49
42.11, 2.146, 12
44.08, 2.055, 15
45.98, 1.974, 17
49.61, 1.838, 12
57.95, 1.591, 13
64.10, 1.453, 11
68.50, 1.370, 15


No. 4
# LaSi2Sb2Pt7
Computed powder X-ray diffraction pattern, Cu Kα (weighted mean of Kα1 and Kα2). Input: a PBE-relaxed structure.
No peak broadening, texture or thermal motion is included.

Crystal structure
Cell: 15.5332 15.5332 15.5332 Å, 165.25 165.25 20.92°
Sites, in units of the cell vectors:
La 0.0000 0.0000 0.0000
Si 0.3783 0.3783 0.0000
Si 0.6217 0.6217 0.0000
Sb 0.2116 0.2116 0.0000
Sb 0.7884 0.7884 0.0000
Pt 0.0776 0.5776 0.5000
Pt 0.3014 0.3014 0.0000
Pt 0.4224 0.9224 0.5000
Pt 0.5000 0.5000 0.0000
Pt 0.5776 0.0776 0.5000
Pt 0.6986 0.6986 0.0000
Pt 0.9224 0.4224 0.5000

Largest 10 diffraction maxima, low angle first, 5° ≤ 2θ ≤ 70°:
2θ/deg, d_spacing, I/Imax
5.79, 15.275, 64
29.23, 3.055, 34
32.29, 2.773, 38
33.89, 2.645, 56
36.42, 2.467, 100
43.69, 2.072, 26
45.49, 1.994, 61
48.16, 1.890, 29
55.00, 1.670, 23
63.17, 1.472, 24


No. 5
# LaPtSe4
Computed powder X-ray diffraction pattern, Cu Kα (weighted mean of Kα1 and Kα2). Input: a PBE-relaxed structure.
No peak broadening, texture or thermal motion is included.

Crystal structure
Cell: 5.7003 5.7003 5.7003 Å, 60.00 60.00 60.00°
Sites, in units of the cell vectors:
La 0.0000 0.0000 0.0000
Pt 0.7500 0.7500 0.7500
Se 0.3764 0.3764 0.3764
Se 0.3764 0.3764 0.8708
Se 0.3764 0.8708 0.3764
Se 0.8708 0.3764 0.3764

Largest 10 diffraction maxima, low angle first, 5° ≤ 2θ ≤ 70°:
2θ/deg, d_spacing, I/Imax
19.07, 4.654, 7
22.05, 4.031, 1
31.39, 2.850, 54
36.98, 2.431, 100
38.69, 2.327, 20
49.27, 1.849, 2
55.87, 1.646, 21
59.59, 1.551, 33
65.50, 1.425, 25
68.91, 1.363, 2


No. 6
# La4PtSe3
Computed powder X-ray diffraction pattern, Cu Kα (weighted mean of Kα1 and Kα2). Input: a PBE-relaxed structure.
No peak broadening, texture or thermal motion is included.

Crystal structure
Cell: 7.5558 7.5558 4.2431 Å, 90.00 90.00 109.61°
Sites, in units of the cell vectors:
La 0.2491 0.7509 0.0000
La 0.2638 0.2638 0.5000
La 0.7362 0.7362 0.5000
La 0.7509 0.2491 0.0000
Pt 0.5000 0.5000 0.0000
Se 0.0000 0.0000 0.0000
Se 0.0000 0.5000 0.5000
Se 0.5000 0.0000 0.5000

Largest 10 diffraction maxima, low angle first, 5° ≤ 2θ ≤ 70°:
2θ/deg, d_spacing, I/Imax
12.44, 7.117, 13
28.92, 3.087, 53
29.39, 3.039, 100
41.47, 2.177, 19
41.70, 2.166, 77
42.62, 2.122, 18
51.35, 1.779, 20
52.32, 1.749, 20
68.13, 1.376, 18
68.87, 1.363, 17


No. 7
# La3PtSe2
Computed powder X-ray diffraction pattern, Cu Kα (weighted mean of Kα1 and Kα2). Input: a PBE-relaxed structure.
No peak broadening, texture or thermal motion is included.

Crystal structure
Cell: 7.5838 7.5838 7.5838 Å, 147.90 131.45 59.40°
Sites, in units of the cell vectors:
La 0.0000 0.0000 0.0000
La 0.3452 0.3452 0.0000
La 0.6548 0.6548 0.0000
Pt 0.5000 0.0000 0.5000
Se 0.1707 0.6707 0.5000
Se 0.8293 0.3293 0.5000

Largest 10 diffraction maxima, low angle first, 5° ≤ 2θ ≤ 70°:
2θ/deg, d_spacing, I/Imax
15.72, 5.636, 13
28.63, 3.118, 55
29.45, 3.033, 100
41.11, 2.196, 19
41.54, 2.174, 79
43.14, 2.097, 18
50.86, 1.795, 21
52.60, 1.740, 20
67.57, 1.386, 19
68.85, 1.364, 17